Entry 1:
For Pr2CdIn3Hg6, a PBE-relaxed structure gives the simulated X-ray diffraction stick pattern in this record (CuKα).
No peak broadening, texture or thermal motion is included.

Structural model:
a b c (Å): 4.660 4.660 18.646
angles (deg): 90.00 90.00 90.00
Positions (direct):
Pr 0.000 0.000 0.222
Pr 0.000 0.000 0.778
Cd 0.000 0.000 0.000
In 0.500 0.500 0.200
In 0.500 0.500 0.500
In 0.500 0.500 0.800
Hg 0.000 0.500 0.094
Hg 0.000 0.500 0.906
Hg 0.500 0.000 0.094
Hg 0.500 0.000 0.906
Hg 0.500 0.500 0.350
Hg 0.500 0.500 0.650

Principal peaks in the range 5 to 70 degrees two-theta, low angle first:
| 2θ (°) | I_rel | (hkl) |
| --- | --- | --- |
| 19.64 | 57 | 1 0 1 |
| 27.06 | 38 | 1 0 4 |
| 27.49 | 77 | 1 1 1 |
| 28.74 | 51 | 1 1 2 |
| 33.30 | 45 | 1 1 4 |
| 36.39 | 94 | 1 1 5 |
| 38.65 | 100 | 2 0 0 |
| 39.88 | 72 | 1 1 6 |
| 52.16 | 37 | 2 0 7 |
| 68.46 | 47 | 3 1 5 |


Entry 2:
For CdIn2HgPt, a PBE-relaxed structure gives the simulated X-ray diffraction stick pattern in this record (CuKα).
No peak broadening, texture or thermal motion is included.

Structural model:
a b c (Å): 5.254 5.254 5.418
angles (deg): 90.00 90.00 90.00
Positions (direct):
Cd 0.000 0.000 0.000
In 0.000 0.500 0.500
In 0.500 0.000 0.500
Hg 0.500 0.500 0.000
Pt 0.000 0.000 0.500

Principal peaks in the range 5 to 70 degrees two-theta, low angle first:
| 2θ (°) | I_rel | (hkl) |
| --- | --- | --- |
| 23.59 | 70 | 1 0 1 |
| 23.95 | 33 | 1 1 0 |
| 29.15 | 71 | 1 1 1 |
| 33.07 | 54 | 0 0 2 |
| 34.13 | 100 | 2 0 0 |
| 41.91 | 32 | 2 1 1 |
| 48.26 | 75 | 2 0 2 |
| 49.04 | 36 | 2 2 0 |
| 58.07 | 19 | 3 1 1 |
| 60.43 | 38 | 2 2 2 |